No. 1
Diffraction record for Na3Mg3Tl5. The X-ray powder pattern is theoretical, not measured: it uses DFT lattice parameters and positions (PBE) and λ = 1.5418 Å (Cu Kα).

Cell and atoms:
```
data_Na3Mg3Tl5
_symmetry_space_group_name_H-M 'P 1'
_symmetry_Int_Tables_number 1
_symmetry_space_group_name_Hall 'P 1'
_cell_length_a 3.476
_cell_length_b 9.505
_cell_length_c 10.098
_cell_angle_alpha 106.50
_cell_angle_beta 99.58
_cell_angle_gamma 99.71
loop_
_atom_site_label
_atom_site_type_symbol
_atom_site_fract_x
_atom_site_fract_y
_atom_site_fract_z
_atom_site_occupancy
Na1 Na 0.000 0.000 0.000 1
Na2 Na 0.090 0.767 0.447 1
Na3 Na 0.246 0.122 0.404 1
Mg1 Mg 0.042 0.390 0.713 1
Mg2 Mg 0.321 0.487 0.186 1
Mg3 Mg 0.785 0.613 0.974 1
Tl1 Tl 0.501 0.832 0.197 1
Tl2 Tl 0.592 0.275 0.934 1
Tl3 Tl 0.656 0.678 0.696 1
Tl4 Tl 0.834 0.038 0.669 1
Tl5 Tl 0.893 0.418 0.416 1
```

Peak list (10 most intense, 5 to 70 degrees two-theta, sorted by position)
- 18.25 deg, I 73
- 19.18 deg, I 100
- 24.05 deg, I 63
- 30.37 deg, I 32
- 30.78 deg, I 40
- 34.21 deg, I 36
- 34.32 deg, I 52
- 34.54 deg, I 85
- 35.09 deg, I 50
- 38.18 deg, I 39

No. 2
Diffraction record for Zr2Be9V. The X-ray powder pattern is theoretical, not measured: it uses DFT lattice parameters and positions (PBE) and λ = 1.5418 Å (Cu Kα).

Cell and atoms:
```
data_Zr2Be9V
_symmetry_space_group_name_H-M 'R -3 m'
_symmetry_Int_Tables_number 166
_symmetry_space_group_name_Hall '-R 3 2"'
_cell_length_a 4.5907
_cell_length_b 4.5907
_cell_length_c 21.7048
_cell_angle_alpha 90.00
_cell_angle_beta 90.00
_cell_angle_gamma 120.00
loop_
_atom_site_label
_atom_site_type_symbol
_atom_site_fract_x
_atom_site_fract_y
_atom_site_fract_z
_atom_site_occupancy
Zr1 Zr 0.0000 0.0000 0.1380 1
Be1 Be 0.0000 0.0000 0.3338 1
Be2 Be 0.0000 0.0000 0.5000 1
Be3 Be 0.0008 0.5004 0.9236 1
V1 V 0.0000 0.0000 0.0000 1
```

Peak list (10 most intense, 5 to 70 degrees two-theta, sorted by position)
- 12.23 deg, I 57
- 22.74 deg, I 100
- 27.82 deg, I 42
- 36.76 deg, I 72
- 39.25 deg, I 65
- 40.24 deg, I 44
- 41.26 deg, I 21
- 45.84 deg, I 25
- 46.88 deg, I 36
- 69.52 deg, I 20

Repeat the second record exactly.
Diffraction record for Zr2Be9V. The X-ray powder pattern is theoretical, not measured: it uses DFT lattice parameters and positions (PBE) and λ = 1.5418 Å (Cu Kα).

Cell and atoms:
```
data_Zr2Be9V
_symmetry_space_group_name_H-M 'R -3 m'
_symmetry_Int_Tables_number 166
_symmetry_space_group_name_Hall '-R 3 2"'
_cell_length_a 4.5907
_cell_length_b 4.5907
_cell_length_c 21.7048
_cell_angle_alpha 90.00
_cell_angle_beta 90.00
_cell_angle_gamma 120.00
loop_
_atom_site_label
_atom_site_type_symbol
_atom_site_fract_x
_atom_site_fract_y
_atom_site_fract_z
_atom_site_occupancy
Zr1 Zr 0.0000 0.0000 0.1380 1
Be1 Be 0.0000 0.0000 0.3338 1
Be2 Be 0.0000 0.0000 0.5000 1
Be3 Be 0.0008 0.5004 0.9236 1
V1 V 0.0000 0.0000 0.0000 1
```

Peak list (10 most intense, 5 to 70 degrees two-theta, sorted by position)
- 12.23 deg, I 57
- 22.74 deg, I 100
- 27.82 deg, I 42
- 36.76 deg, I 72
- 39.25 deg, I 65
- 40.24 deg, I 44
- 41.26 deg, I 21
- 45.84 deg, I 25
- 46.88 deg, I 36
- 69.52 deg, I 20